Diffraction record for MgScCd4. The X-ray powder pattern is theoretical, not measured: it uses a crystal structure in Alexandria, relaxed with PBE and Cu Ka.
Intensities are scaled so that the largest is 100.

Cell and atoms:
```
data_MgScCd4
_cell_length_a 4.859
_cell_length_b 6.423
_cell_length_c 8.544
_cell_angle_alpha 90.00
_cell_angle_beta 90.00
_cell_angle_gamma 90.00
_space_group_name_H-M_alt 'I m m m'
_space_group_IT_number 71
_space_group_name_Hall '-I 2 2'
loop_
_atom_site_label
_atom_site_type_symbol
_atom_site_fract_x
_atom_site_fract_y
_atom_site_fract_z
Mg1 Mg 0.000 0.000 0.000
Sc1 Sc 0.000 0.500 0.000
Cd1 Cd 0.000 0.248 0.334
```

Largest 10 diffraction maxima, in order of rising 2θ, 10° ≤ 2θ ≤ 80°:
d 4.224, I 37, hkl 1 0 1; d 3.211, I 56, hkl 0 2 0; d 2.567, I 36, hkl 0 2 2; d 2.556, I 73, hkl 1 2 1; d 2.457, I 100, hkl 1 0 3; d 2.430, I 48, hkl 2 0 0; d 1.951, I 54, hkl 1 2 3; d 1.938, I 26, hkl 2 2 0; d 1.765, I 22, hkl 2 2 2; d 1.344, I 27, hkl 1 4 3